Computed X-ray powder pattern
Compound: La2IrF
Radiation: a wavelength of 1.5418 Å
Structure: a crystal structure in Alexandria, relaxed with PBE
No peak broadening, texture or thermal motion is included.

Crystal structure
Cell lengths 9.292, 9.292, 9.292 Å; angles 106.63, 106.63, 106.63 degrees
Fractional coordinates of all 24 atoms:
1 La 0.029 0.355 0.116
2 La 0.116 0.029 0.355
3 La 0.178 0.749 0.591
4 La 0.251 0.409 0.822
5 La 0.355 0.116 0.029
6 La 0.409 0.822 0.251
7 La 0.591 0.178 0.749
8 La 0.645 0.884 0.971
9 La 0.749 0.591 0.178
10 La 0.822 0.251 0.409
11 La 0.884 0.971 0.645
12 La 0.971 0.645 0.884
13 Ir 0.089 0.689 0.245
14 Ir 0.245 0.089 0.689
15 Ir 0.311 0.755 0.911
16 Ir 0.689 0.245 0.089
17 Ir 0.755 0.911 0.311
18 Ir 0.911 0.311 0.755
19 F 0.089 0.299 0.383
20 F 0.299 0.383 0.089
21 F 0.383 0.089 0.299
22 F 0.617 0.911 0.701
23 F 0.701 0.617 0.911
24 F 0.911 0.701 0.617

Largest 12 diffraction maxima, most intense first, 10° ≤ 2θ ≤ 80°:
2θ/deg, I/Imax
30.19, 100
11.88, 42
42.64, 40
43.80, 34
10.85, 19
54.12, 16
70.40, 14
72.08, 14
21.79, 10
79.69, 10
62.79, 10
38.87, 9

***

Computed X-ray powder pattern
Compound: Li3IrF7
Radiation: a wavelength of 1.5418 Å
Structure: a crystal structure in Alexandria, relaxed with PBE
No peak broadening, texture or thermal motion is included.

Crystal structure
Cell lengths 5.160, 5.160, 5.640 Å; angles 102.56, 102.56, 93.42 degrees
Fractional coordinates of all 11 atoms:
1 Li 0.000 0.000 0.000
2 Li 0.120 0.674 0.567
3 Li 0.674 0.120 0.567
4 Ir 0.521 0.521 0.163
5 F 0.252 0.628 0.909
6 F 0.264 0.264 0.226
7 F 0.413 0.790 0.423
8 F 0.628 0.252 0.909
9 F 0.787 0.787 0.130
10 F 0.790 0.413 0.423
11 F 0.979 0.979 0.674

Largest 12 diffraction maxima, most intense first, 10° ≤ 2θ ≤ 80°:
2θ/deg, I/Imax
17.72, 100
21.25, 81
16.57, 66
26.54, 48
29.05, 43
27.13, 42
40.26, 31
41.45, 28
23.69, 26
43.82, 18
35.87, 17
51.62, 15

***

Computed X-ray powder pattern
Compound: LiIr2F8
Radiation: a wavelength of 1.5418 Å
Structure: a crystal structure in Alexandria, relaxed with PBE
No peak broadening, texture or thermal motion is included.

Crystal structure
Cell lengths 3.957, 6.219, 6.379 Å; angles 78.22, 74.76, 74.40 degrees
Fractional coordinates of all 11 atoms:
1 Li 0.000 0.000 0.000
2 Ir 0.122 0.370 0.368
3 Ir 0.878 0.630 0.632
4 F 0.126 0.611 0.128
5 F 0.144 0.119 0.597
6 F 0.308 0.142 0.146
7 F 0.363 0.639 0.661
8 F 0.637 0.361 0.339
9 F 0.692 0.858 0.854
10 F 0.856 0.881 0.403
11 F 0.874 0.389 0.872

Largest 12 diffraction maxima, most intense first, 10° ≤ 2θ ≤ 80°:
2θ/deg, I/Imax
25.18, 100
14.54, 66
14.95, 64
22.38, 57
23.94, 28
39.25, 24
45.96, 21
41.04, 21
31.03, 17
45.67, 17
31.62, 15
47.87, 10

***

Computed X-ray powder pattern
Compound: Li2IrF5
Radiation: a wavelength of 1.5418 Å
Structure: a crystal structure in Alexandria, relaxed with PBE
No peak broadening, texture or thermal motion is included.

Crystal structure
Cell lengths 5.489, 5.489, 10.414 Å; angles 90.00, 90.00, 137.55 degrees
Fractional coordinates of all 16 atoms:
1 Li 0.122 0.878 0.568
2 Li 0.122 0.878 0.932
3 Li 0.878 0.122 0.068
4 Li 0.878 0.122 0.432
5 Ir 0.195 0.805 0.250
6 Ir 0.805 0.195 0.750
7 F 0.061 0.939 0.108
8 F 0.061 0.939 0.392
9 F 0.267 0.733 0.750
10 F 0.326 0.674 0.101
11 F 0.326 0.674 0.399
12 F 0.674 0.326 0.601
13 F 0.674 0.326 0.899
14 F 0.733 0.267 0.250
15 F 0.939 0.061 0.608
16 F 0.939 0.061 0.892

Largest 12 diffraction maxima, most intense first, 10° ≤ 2θ ≤ 80°:
2θ/deg, I/Imax
25.52, 100
17.03, 61
17.33, 46
24.39, 45
38.84, 41
19.33, 39
43.96, 23
49.66, 19
35.44, 17
31.13, 17
65.25, 15
53.33, 15

***

Computed X-ray powder pattern
Compound: LiIrF5
Radiation: a wavelength of 1.5418 Å
Structure: a crystal structure in Alexandria, relaxed with PBE
No peak broadening, texture or thermal motion is included.

Crystal structure
Cell lengths 5.389, 5.389, 7.554 Å; angles 110.36, 110.36, 77.47 degrees
Fractional coordinates of all 14 atoms:
1 Li 0.039 0.961 0.750
2 Li 0.961 0.039 0.250
3 Ir 0.500 0.500 0.000
4 Ir 0.500 0.500 0.500
5 F 0.189 0.748 0.541
6 F 0.206 0.284 0.860
7 F 0.252 0.811 0.959
8 F 0.284 0.206 0.360
9 F 0.394 0.606 0.250
10 F 0.606 0.394 0.750
11 F 0.716 0.794 0.640
12 F 0.748 0.189 0.041
13 F 0.794 0.716 0.140
14 F 0.811 0.252 0.459

Largest 12 diffraction maxima, most intense first, 10° ≤ 2θ ≤ 80°:
2θ/deg, I/Imax
17.66, 100
26.41, 59
27.06, 44
23.65, 31
37.71, 19
38.29, 16
51.72, 13
47.04, 13
41.94, 12
53.31, 11
36.30, 9
36.18, 8

***

Computed X-ray powder pattern
Compound: Na2Li3IrF12
Radiation: a wavelength of 1.5418 Å
Structure: a crystal structure in Alexandria, relaxed with PBE
No peak broadening, texture or thermal motion is included.

Crystal structure
Cell lengths 8.231, 8.231, 8.231 Å; angles 47.08, 47.08, 47.08 degrees
Fractional coordinates of all 18 atoms:
1 Na 0.068 0.068 0.068
2 Na 0.932 0.932 0.932
3 Li 0.000 0.500 0.500
4 Li 0.500 0.000 0.500
5 Li 0.500 0.500 0.000
6 Ir 0.500 0.500 0.500
7 F 0.154 0.154 0.594
8 F 0.154 0.594 0.154
9 F 0.178 0.586 0.586
10 F 0.406 0.846 0.846
11 F 0.414 0.414 0.822
12 F 0.414 0.822 0.414
13 F 0.586 0.178 0.586
14 F 0.586 0.586 0.178
15 F 0.594 0.154 0.154
16 F 0.822 0.414 0.414
17 F 0.846 0.406 0.846
18 F 0.846 0.846 0.406

Largest 12 diffraction maxima, most intense first, 10° ≤ 2θ ≤ 80°:
2θ/deg, I/Imax
17.55, 100
16.08, 85
22.52, 68
25.65, 44
29.81, 40
32.50, 24
45.27, 23
12.12, 23
27.13, 20
46.42, 20
45.98, 19
51.54, 18

***

Copy entry 3 word for word.
Computed X-ray powder pattern
Compound: LiIr2F8
Radiation: a wavelength of 1.5418 Å
Structure: a crystal structure in Alexandria, relaxed with PBE
No peak broadening, texture or thermal motion is included.

Crystal structure
Cell lengths 3.957, 6.219, 6.379 Å; angles 78.22, 74.76, 74.40 degrees
Fractional coordinates of all 11 atoms:
1 Li 0.000 0.000 0.000
2 Ir 0.122 0.370 0.368
3 Ir 0.878 0.630 0.632
4 F 0.126 0.611 0.128
5 F 0.144 0.119 0.597
6 F 0.308 0.142 0.146
7 F 0.363 0.639 0.661
8 F 0.637 0.361 0.339
9 F 0.692 0.858 0.854
10 F 0.856 0.881 0.403
11 F 0.874 0.389 0.872

Largest 12 diffraction maxima, most intense first, 10° ≤ 2θ ≤ 80°:
2θ/deg, I/Imax
25.18, 100
14.54, 66
14.95, 64
22.38, 57
23.94, 28
39.25, 24
45.96, 21
41.04, 21
31.03, 17
45.67, 17
31.62, 15
47.87, 10

***

Please write out number 1 again, unchanged.
Computed X-ray powder pattern
Compound: La2IrF
Radiation: a wavelength of 1.5418 Å
Structure: a crystal structure in Alexandria, relaxed with PBE
No peak broadening, texture or thermal motion is included.

Crystal structure
Cell lengths 9.292, 9.292, 9.292 Å; angles 106.63, 106.63, 106.63 degrees
Fractional coordinates of all 24 atoms:
1 La 0.029 0.355 0.116
2 La 0.116 0.029 0.355
3 La 0.178 0.749 0.591
4 La 0.251 0.409 0.822
5 La 0.355 0.116 0.029
6 La 0.409 0.822 0.251
7 La 0.591 0.178 0.749
8 La 0.645 0.884 0.971
9 La 0.749 0.591 0.178
10 La 0.822 0.251 0.409
11 La 0.884 0.971 0.645
12 La 0.971 0.645 0.884
13 Ir 0.089 0.689 0.245
14 Ir 0.245 0.089 0.689
15 Ir 0.311 0.755 0.911
16 Ir 0.689 0.245 0.089
17 Ir 0.755 0.911 0.311
18 Ir 0.911 0.311 0.755
19 F 0.089 0.299 0.383
20 F 0.299 0.383 0.089
21 F 0.383 0.089 0.299
22 F 0.617 0.911 0.701
23 F 0.701 0.617 0.911
24 F 0.911 0.701 0.617

Largest 12 diffraction maxima, most intense first, 10° ≤ 2θ ≤ 80°:
2θ/deg, I/Imax
30.19, 100
11.88, 42
42.64, 40
43.80, 34
10.85, 19
54.12, 16
70.40, 14
72.08, 14
21.79, 10
79.69, 10
62.79, 10
38.87, 9